Entry 1:
SrSc2V2O7: computed powder diffraction line list (Cu Kα X-rays), based on a structure optimized by DFT (PBE+U).
No peak broadening, texture or thermal motion is included.

Crystal structure
```
SrSc2V2O7
1.0
4.241 0.000 0.000
0.000 4.249 0.000
-2.118 -2.066 8.257
Sr Sc V O
1 2 2 7
direct
0.000 0.000 0.000
0.238 0.750 0.501
0.737 0.249 0.500
0.378 0.382 0.776
0.602 0.617 0.225
0.110 0.631 0.249
0.248 0.260 0.522
0.364 0.873 0.753
0.472 0.499 0.000
0.612 0.126 0.248
0.727 0.739 0.479
0.861 0.369 0.752
```

Most intense lines, 10° ≤ 2θ ≤ 90°, in order of falling intensity:
two_theta	Rel. int.
42.59	100
26.55	62
31.77	49
31.66	48
43.86	43
34.42	29


Entry 2:
Li7Co5O12: computed powder diffraction line list (Cu Kα X-rays), based on a structure optimized by DFT (PBE+U).
No peak broadening, texture or thermal motion is included.

Crystal structure
```
Li7Co5O12
1.0
2.464 -4.251 0.000
2.464 4.251 0.000
-1.610 0.000 9.473
Li Co O
7 5 12
direct
0.000 0.000 0.000
0.085 0.413 0.251
0.247 0.247 0.750
0.413 0.085 0.251
0.587 0.915 0.749
0.753 0.753 0.250
0.915 0.587 0.749
0.167 0.833 0.500
0.330 0.670 0.000
0.500 0.500 0.500
0.670 0.330 0.000
0.833 0.167 0.500
0.044 0.680 0.112
0.131 0.131 0.390
0.202 0.535 0.608
0.320 0.956 0.888
0.397 0.397 0.111
0.465 0.798 0.392
0.535 0.202 0.608
0.603 0.603 0.889
0.680 0.044 0.112
0.798 0.465 0.392
0.869 0.869 0.610
0.956 0.320 0.888
```

Most intense lines, 10° ≤ 2θ ≤ 90°, in order of falling intensity:
two_theta	Rel. int.
18.73	100
44.89	51
44.69	26
37.15	24
65.71	14
64.71	13